Diffraction record for Zr5AgPb3. The powder diffractogram is computed, not measured: it uses a crystal structure in the Materials Project, relaxed with GGA-PBE and copper Kα.

Unit cell a=8.8825 b=8.8825 c=5.9973 alpha=90.00 beta=90.00 gamma=120.00
Space group P6_3/mcm (No. 193)
Symmetry-distinct sites (fractional):
1 Zr 0.0000 0.2795 0.2500 (multiplicity 6)
2 Zr 0.3333 0.6667 0.0000 (multiplicity 4)
3 Ag 0.0000 0.0000 0.0000 (multiplicity 2)
4 Pb 0.0000 0.3774 0.7500 (multiplicity 6)

Largest 10 diffraction maxima, by intensity, 10° ≤ 2θ ≤ 90°:
Position (°2θ)	I (rel.)	h k l
35.0	100.0	3 0 0
36.1	97.2	1 1 2
34.3	54.9	2 1 1
24.9	35.4	1 1 1
45.1	26.8	3 1 1
51.2	25.1	2 2 2
73.1	23.2	3 0 4
63.5	19.7	4 1 2
66.1	19.4	4 2 1
29.8	18.9	0 0 2